[1]
The following is a theoretical PXRD pattern of BaNaLiAu2. It was derived from a crystal structure in OQMD, relaxed with PBE, using Cu Kα (λ = 1.5418 Å).

Cell and atoms:
Unit cell a=4.464 b=4.464 c=13.258 alpha=90.00 beta=90.00 gamma=90.00
Space group I-4m2 (No. 119)
Symmetry-distinct sites (fractional):
Ba 0.000 0.000 0.000 (multiplicity 2)
Na 0.000 0.500 0.250 (multiplicity 2)
Li 0.000 0.500 0.750 (multiplicity 2)
Au 0.000 0.000 0.391 (multiplicity 4)

Peak list (10 most intense, 10 to 90 degrees two-theta, in order of falling intensity)
| 2theta | I_rel |
| --- | --- |
| 28.27 | 100 |
| 39.53 | 88 |
| 28.42 | 79 |
| 57.81 | 58 |
| 21.00 | 50 |
| 40.41 | 49 |
| 13.36 | 38 |
| 31.39 | 36 |
| 50.14 | 33 |
| 66.22 | 26 |

[2]
The following is a theoretical PXRD pattern of Ba2LiP2Au. It was derived from a crystal structure in OQMD, relaxed with PBE, using Cu Kα (λ = 1.5418 Å).

Cell and atoms:
Unit cell a=4.4812 b=4.4812 c=8.9382 alpha=90.00 beta=90.00 gamma=120.00
Space group P-6m2 (No. 187)
Symmetry-distinct sites (fractional):
Ba 0.0000 0.0000 0.2471 (multiplicity 2)
Li 0.3333 0.6667 0.0000 (multiplicity 1)
P 0.3333 0.6667 0.5000 (multiplicity 1)
P 0.6667 0.3333 0.0000 (multiplicity 1)
Au 0.6667 0.3333 0.5000 (multiplicity 1)

Peak list (10 most intense, 10 to 90 degrees two-theta, in order of falling intensity)
| 2theta | I_rel |
| --- | --- |
| 30.51 | 100 |
| 40.25 | 35 |
| 22.92 | 25 |
| 58.32 | 24 |
| 51.33 | 23 |
| 25.01 | 22 |
| 67.17 | 21 |
| 87.02 | 12 |
| 40.36 | 12 |
| 67.33 | 10 |

[3]
The following is a theoretical PXRD pattern of BaLuAuSe2S. It was derived from a crystal structure in OQMD, relaxed with PBE, using Cu Kα (λ = 1.5418 Å).

Cell and atoms:
Unit cell a=4.178 b=14.069 c=10.411 alpha=90.00 beta=90.00 gamma=90.00
Space group Cmcm (No. 63)
Symmetry-distinct sites (fractional):
Ba 0.000 0.244 0.250 (multiplicity 4)
Lu 0.000 0.500 0.000 (multiplicity 4)
Au 0.000 0.032 0.750 (multiplicity 4)
Se 0.000 0.137 0.544 (multiplicity 8)
S 0.000 0.427 0.750 (multiplicity 4)

Peak list (10 most intense, 10 to 90 degrees two-theta, in order of falling intensity)
| 2theta | I_rel |
| --- | --- |
| 33.49 | 100 |
| 29.90 | 66 |
| 12.58 | 64 |
| 28.11 | 54 |
| 43.29 | 50 |
| 34.46 | 46 |
| 42.45 | 40 |
| 52.85 | 25 |
| 56.48 | 22 |
| 25.32 | 21 |